Computed powder XRD pattern
Compound: MnOsCl6
Radiation: Cu Kα (λ = 1.5418 Å)
Structure: a crystal structure in Alexandria, relaxed with GGA-PBE
Lines closer than 0.1° are merged.

The 10 most intense peaks (2θ from 10° to 80°), in order of falling intensity:
2theta  I/Imax
16.2  100
16.1  93
35.0  31
16.8  30
28.8  29
29.5  28
45.1  25
44.2  24
21.7  24
17.2  23

```
MnOsCl6
1.0
5.1505 -4.1020 0.0000
5.1505 4.1020 0.0000
-0.1333 0.0000 10.5616
Mn Os Cl
2 2 12
Direct
0.0163 0.9837 0.7500
0.9837 0.0163 0.2500
0.0000 0.5000 0.0000
0.5000 0.0000 0.5000
0.0303 0.6237 0.7894
0.1384 0.7814 0.0849
0.2186 0.8616 0.4151
0.3013 0.3284 0.4894
0.3284 0.3013 0.9894
0.3763 0.9697 0.7106
0.6237 0.0303 0.2894
0.6716 0.6987 0.0106
0.6987 0.6716 0.5106
0.7814 0.1384 0.5849
0.8616 0.2186 0.9151
0.9697 0.3763 0.2106
```